No. 1
Structure and calculated powder X-ray diffraction pattern of CsCe2Te4 (a DFT-relaxed cell (PBE, Alexandria); λ = 1.5418 Å (Cu Kα)).

Most intense lines, 15 to 90 degrees two-theta, by intensity:
index, 2θ (°), intensity
2 2 0, 26.1, 100.0
2 2 4, 37.3, 69.2
0 0 4, 26.2, 49.8
3 2 1, 34.3, 22.8
0 4 0, 36.9, 17.3
4 0 0, 37.6, 17.3

Structure:
Cell lengths 9.5679, 9.7393, 13.5896 Å; angles 90.00, 90.00, 90.00 degrees
Space group Imma (No. 74)
Asymmetric unit:
Cs 0.2500 0.2500 0.2500 [4 per cell]
Ce 0.0000 0.0000 0.0000 [4 per cell]
Ce 0.2500 0.2500 0.7500 [4 per cell]
Te 0.0000 0.0395 0.7665 [8 per cell]
Te 0.2143 0.2500 0.9802 [8 per cell]


No. 2
Structure and calculated powder X-ray diffraction pattern of Bi2AsPd6 (a DFT-relaxed cell (PBE, Alexandria); λ = 1.5418 Å (Cu Kα)).

Most intense lines, 15 to 90 degrees two-theta, by intensity:
index, 2θ (°), intensity
4 2 -1, 40.0, 100.0
1 1 -1, 25.6, 39.6
3 1 0, 24.9, 30.3
2 0 -2, 46.1, 19.8
6 0 0, 44.6, 18.7
3 1 1, 39.3, 13.5

Structure:
Cell lengths 12.8088, 7.4658, 3.9361 Å; angles 90.00, 107.86, 90.00 degrees
Space group C2/m (No. 12)
Asymmetric unit:
Bi 0.1494 0.0000 0.1480 [4 per cell]
As 0.0000 0.5000 0.5000 [2 per cell]
Pd 0.0000 0.2965 0.0000 [4 per cell]
Pd 0.1648 0.2835 0.6645 [8 per cell]


No. 3
Structure and calculated powder X-ray diffraction pattern of Na3La3TaSe8 (a DFT-relaxed cell (PBE, Alexandria); λ = 1.5418 Å (Cu Kα)).

Most intense lines, 15 to 90 degrees two-theta, by intensity:
index, 2θ (°), intensity
0 2 4, 29.6, 100.0
2 0 8, 42.0, 35.2
2 2 0, 42.6, 34.7
0 2 1, 24.6, 23.4
4 0 4, 52.7, 17.3
0 2 7, 38.5, 16.5

Structure:
Cell lengths 8.4876, 8.4876, 21.1966 Å; angles 90.00, 90.00, 120.00 degrees
Space group R-3m (No. 166, hexagonal axes)
Asymmetric unit:
Na 0.0000 0.5000 0.0000 [9 per cell]
La 0.0000 0.5000 0.5000 [9 per cell]
Ta 0.0000 0.0000 0.5000 [3 per cell]
Se 0.0000 0.0000 0.2477 [6 per cell]
Se 0.0368 0.5184 0.2395 [18 per cell]


No. 4
Structure and calculated powder X-ray diffraction pattern of Sc (a DFT-relaxed cell (PBE, Alexandria); λ = 1.5418 Å (Cu Kα)).

Most intense lines, 15 to 90 degrees two-theta, by intensity:
index, 2θ (°), intensity
2 1 1, 36.6, 100.0
0 0 2, 33.2, 29.2
2 0 0, 29.0, 19.2
2 1 3, 61.5, 18.9
1 1 0, 20.4, 14.8
4 1 1, 64.7, 14.4

Structure:
Cell lengths 6.1645, 6.1645, 5.4043 Å; angles 90.00, 90.00, 90.00 degrees
Space group I4/mcm (No. 140)
Asymmetric unit:
Sc 0.1644 0.3356 0.0000 [8 per cell]


No. 5
Structure and calculated powder X-ray diffraction pattern of Mg4Si (a DFT-relaxed cell (PBE, Alexandria); λ = 1.5418 Å (Cu Kα)).

Most intense lines, 15 to 90 degrees two-theta, by intensity:
index, 2θ (°), intensity
2 0 0, 35.4, 100.0
2 2 0, 50.9, 67.7
1 1 1, 30.5, 63.7
1 0 0, 17.5, 32.6
4 2 0, 85.6, 27.8
1 1 0, 24.8, 25.9

Structure:
Cell lengths 5.0756, 5.0756, 5.0756 Å; angles 90.00, 90.00, 90.00 degrees
Space group Pm-3m (No. 221)
Asymmetric unit:
Mg 0.0000 0.0000 0.0000 [1 per cell]
Mg 0.0000 0.5000 0.5000 [3 per cell]
Si 0.5000 0.5000 0.5000 [1 per cell]


No. 6
Structure and calculated powder X-ray diffraction pattern of Cs2PuTlI6 (a DFT-relaxed cell (PBE, Alexandria); λ = 1.5418 Å (Cu Kα)).

Most intense lines, 15 to 90 degrees two-theta, by intensity:
index, 2θ (°), intensity
2 0 2, 27.4, 100.0
2 4 2, 39.3, 66.6
0 4 0, 27.6, 61.3
1 2 1, 19.4, 47.3
0 2 3, 31.0, 37.2
2 1 2, 28.3, 29.9

Structure:
Cell lengths 8.7970, 12.9110, 9.6695 Å; angles 90.00, 90.00, 90.00 degrees
Space group Pmmn (No. 59, origin choice 2)
Asymmetric unit:
Cs 0.2500 0.0349 0.1963 [4 per cell]
Pu 0.2500 0.7500 0.7852 [2 per cell]
Tl 0.2500 0.2500 0.7094 [2 per cell]
I 0.0061 0.2500 0.4318 [4 per cell]
I 0.0088 0.7500 0.0198 [4 per cell]
I 0.2500 0.5105 0.7873 [4 per cell]